For Zr2GaCo3, the GGA-PBE geometry in the Materials Project gives the theoretical powder X-ray diffraction pattern in this record (Cu Ka).

Unit cell a=5.0921 b=5.0921 c=7.7954 alpha=90.00 beta=90.00 gamma=120.00
Space group P6_3/mmc (No. 194)
Asymmetric unit:
1 Zr 0.3333 0.6667 0.0614 (multiplicity 4)
2 Ga 0.0000 0.0000 0.0000 (multiplicity 2)
3 Co 0.1719 0.3438 0.7500 (multiplicity 6)

Top 10 peaks for 5 to 70 degrees two-theta, in order of rising 2θ:
| index | 2θ/deg | intensity |
| --- | --- | --- |
| 1 1 0 | 35.25 | 46 |
| 1 0 3 | 40.29 | 68 |
| 2 0 0 | 40.93 | 10 |
| 1 1 2 | 42.41 | 100 |
| 2 0 1 | 42.61 | 67 |
| 0 0 4 | 46.60 | 12 |
| 2 0 2 | 47.37 | 10 |
| 3 0 0 | 63.26 | 12 |
| 2 1 3 | 66.66 | 25 |
| 3 0 2 | 68.18 | 23 |